For BaV4ZnO8, a PBE+U-relaxed structure gives the simulated powder XRD pattern in this record (Cu Kα X-rays).
Intensities are scaled so that the largest is 100.

Top 10 peaks for 10 to 90 degrees two-theta, by angle:
| 2theta | d_spacing | I/Imax | h k l |
| --- | --- | --- | --- |
| 18.7 | 4.753 | 16 | 1 0 0 |
| 30.6 | 2.922 | 100 | 1 0 2 |
| 32.6 | 2.744 | 80 | 1 1 0 |
| 34.9 | 2.573 | 15 | 2 -1 1 |
| 45.3 | 2.000 | 35 | 2 0 2 |
| 57.0 | 1.616 | 34 | 2 1 2 |
| 58.2 | 1.584 | 24 | 3 0 0 |
| 60.3 | 1.535 | 33 | 2 -1 4 |
| 76.7 | 1.242 | 13 | 4 -1 2 |
| 79.6 | 1.204 | 12 | 3 0 4 |

Structure:
Cell lengths 5.4883, 5.4883, 7.4077 Å; angles 90.00, 90.00, 120.00 degrees
Space group P-31m (No. 162)
Symmetry-distinct sites (fractional):
1 Ba 0.0000 0.0000 0.0000 [1 per cell]
2 V 0.3333 0.6667 0.2563 [4 per cell]
3 Zn 0.0000 0.0000 0.5000 [1 per cell]
4 O 0.0000 0.3162 0.3225 [6 per cell]
5 O 0.3333 0.6667 0.0000 [2 per cell]